No. 1
The following is a simulated powder diffraction line list of Pa3TlO8. It was derived from a cell relaxed with GGA-PBE, using copper Kα.
Neutral-atom scattering factors, no anomalous dispersion.

Principal peaks in the range 5 to 70 degrees two-theta, sorted by position:
hkl	two_theta	intensity
0 0 1	11.7	82.6
1 0 1	20.2	44.0
0 0 2	23.5	31.2
1 1 0	28.6	100.0
0 1 2	28.8	50.8
1 1 1	31.0	29.7
1 1 2	37.3	54.6
2 0 2	41.0	22.4
3 0 0	50.8	50.6
0 1 4	51.1	23.6

Structure:
a = 6.2367 Å, b = 6.2367 Å, c = 7.5773 Å
α = 90.00°, β = 90.00°, γ = 120.00°
Space group P-3 (No. 147)
Symmetry-distinct sites (fractional):
1 Pa 0.0000 0.0000 0.0000 [1 per cell]
2 Pa 0.3333 0.6667 0.0825 [2 per cell]
3 Tl 0.0000 0.0000 0.5000 [1 per cell]
4 O 0.0406 0.3413 0.8878 [6 per cell]
5 O 0.3333 0.6667 0.3324 [2 per cell]

---

No. 2
The following is a simulated powder diffraction line list of TmPa3Tl4O12. It was derived from a cell relaxed with GGA-PBE, using copper Kα.
Neutral-atom scattering factors, no anomalous dispersion.

Principal peaks in the range 5 to 70 degrees two-theta, sorted by position:
hkl	two_theta	intensity
1 1 0	14.3	0.7
2 0 0	20.2	0.7
2 2 0	28.7	100.0
4 0 0	41.1	26.4
4 2 2	50.9	43.1
4 4 0	59.5	17.5
6 2 0	67.4	19.1

Structure:
a = 8.784 Å, b = 8.784 Å, c = 8.784 Å
α = 90.00°, β = 90.00°, γ = 90.00°
Space group Im-3m (No. 229)
Symmetry-distinct sites (fractional):
1 Tm 0.000 0.000 0.000 [2 per cell]
2 Pa 0.000 0.000 0.500 [6 per cell]
3 Tl 0.250 0.250 0.250 [8 per cell]
4 O 0.000 0.000 0.256 [12 per cell]
5 O 0.000 0.250 0.500 [12 per cell]

---

No. 3
The following is a simulated powder diffraction line list of UPaTl2O8. It was derived from a cell relaxed with GGA-PBE, using copper Kα.
Neutral-atom scattering factors, no anomalous dispersion.

Principal peaks in the range 5 to 70 degrees two-theta, sorted by position:
hkl	two_theta	intensity
0 2 0	23.6	57.0
2 0 0	24.6	49.0
1 1 2	30.5	100.0
2 2 0	34.4	32.5
1 3 2	46.1	41.1
3 1 2	47.1	35.6
4 2 0	56.4	10.4
3 3 2	59.2	21.7
2 2 4	63.4	12.3
1 5 2	69.0	10.4

Structure:
a = 7.242 Å, b = 7.526 Å, c = 7.093 Å
α = 90.00°, β = 90.00°, γ = 90.00°
Space group Cmmm (No. 65)
Symmetry-distinct sites (fractional):
1 U 0.000 0.000 0.000 [2 per cell]
2 Pa 0.000 0.000 0.500 [2 per cell]
3 Tl 0.000 0.500 0.249 [4 per cell]
4 O 0.000 0.170 0.241 [8 per cell]
5 O 0.208 0.500 0.500 [4 per cell]
6 O 0.217 0.500 0.000 [4 per cell]